Diffraction record for Dy3Mg3AlCdIn. The X-ray powder pattern is calculated, not measured: it uses a structure optimized by DFT (GGA-PBE) and Cu Kα, 1.54184 Å.
No peak broadening, texture or thermal motion is included.

Principal peaks in the range 5 to 70 degrees two-theta, sorted by position:
2theta  intensity
19.36  28
23.78  25
27.53  38
30.85  53
33.88  100
36.70  21
39.30  22
41.82  29
48.67  25
50.81  16
54.87  38
66.07  39

Structural model:
```
data_Dy3Mg3AlCdIn
_space_group_name_H-M_alt 'P -6'
_space_group_IT_number 174
_cell_length_a 7.4811
_cell_length_b 7.4811
_cell_length_c 4.5848
_cell_angle_alpha 90.00
_cell_angle_beta 90.00
_cell_angle_gamma 120.00
loop_
_space_group_symop_operation_xyz
'x,y,z'
'-x+y,-x,-z'
'-y,x-y,z'
'x,y,-z'
'-x+y,-x,z'
'-y,x-y,-z'
loop_
_atom_site_label
_atom_site_type_symbol
_atom_site_fract_x
_atom_site_fract_y
_atom_site_fract_z
Dy1 Dy 0.0081 0.5760 0.0000
Mg1 Mg 0.0048 0.2459 0.5000
Al1 Al 0.3333 0.6667 0.5000
Cd1 Cd 0.0000 0.0000 0.0000
In1 In 0.6667 0.3333 0.5000
```